Diffraction record for Ca2LaGaFe2O8. The powder diffractogram is simulated, not measured: it uses a crystal structure in Alexandria, relaxed with GGA+U and a wavelength of 1.5418 Å.
Intensities are scaled so that the largest is 1000.

```
data_Ca2LaGaFe2O8
_chemical_formula_sum 'Ca4 La2 Ga2 Fe4 O16'
_symmetry_space_group_name_H-M 'P 1 m 1'
_symmetry_Int_Tables_number 6
_symmetry_space_group_name_Hall 'P -2y'
_cell_length_a 5.553
_cell_length_b 11.363
_cell_length_c 5.611
_cell_angle_alpha 90.00
_cell_angle_beta 90.11
_cell_angle_gamma 90.00
loop_
_atom_site_label
_atom_site_type_symbol
_atom_site_fract_x
_atom_site_fract_y
_atom_site_fract_z
Ca1 Ca 0.000 0.184 0.000
Ca2 Ca 0.500 0.184 0.455
La1 La 0.431 0.500 0.469
La2 La 0.932 0.500 0.987
Ga1 Ga 0.964 0.325 0.486
Fe1 Fe 0.017 0.000 0.541
Fe2 Fe 0.464 0.324 0.966
Fe3 Fe 0.518 0.000 0.914
O1 O 0.182 0.353 0.201
O2 O 0.245 0.298 0.690
O3 O 0.366 0.000 0.601
O4 O 0.428 0.143 0.057
O5 O 0.477 0.500 0.900
O6 O 0.686 0.353 0.258
O7 O 0.748 0.298 0.760
O8 O 0.865 0.000 0.854
O9 O 0.929 0.143 0.398
O10 O 0.977 0.500 0.558
```

Largest 12 diffraction maxima, sorted by position, 2θ from 15° to 90°:
index	Position (°2θ)	d/Å	I_rel
1 1 1	23.87	3.728	147
1 2 -1	27.52	3.241	203
0 0 2	31.90	2.805	293
2 0 0	32.24	2.776	310
1 3 1	32.77	2.733	1000
1 4 1	39.07	2.306	121
2 0 2	45.99	1.973	309
0 6 0	48.04	1.894	154
1 3 -3	57.40	1.605	213
3 3 1	57.83	1.594	155
2 6 0	59.05	1.564	101
2 6 2	68.70	1.366	130